The following is a theoretical powder diffraction line list of Pr3Sm12Tl. It was derived from a cell relaxed with PBE, using copper Kα.
Neutral-atom scattering factors, no anomalous dispersion.

Largest 6 diffraction maxima, in order of falling intensity, 2θ = 10–90°:
hkl 1 1 4, 30.29 deg, d 2.951, I 100.0
hkl 2 0 0, 35.33 deg, d 2.540, I 33.4
hkl 3 1 4, 60.32 deg, d 1.534, I 28.4
hkl 2 0 8, 50.35 deg, d 1.812, I 23.8
hkl 0 0 8, 34.69 deg, d 2.586, I 17.0
hkl 1 1 12, 59.47 deg, d 1.554, I 13.8

Cell and atoms:
Lattice parameters (Å, degrees): 5.081 5.081 20.688 90.00 90.00 90.00
Space group P4/mmm (No. 123)
Inequivalent atoms, fractional coordinates:
Pr: 0.000 0.000 0.000 (multiplicity 1)
Pr: 0.000 0.000 0.253 (multiplicity 2)
Sm: 0.000 0.500 0.127 (multiplicity 4)
Sm: 0.000 0.500 0.380 (multiplicity 4)
Sm: 0.500 0.500 0.000 (multiplicity 1)
Sm: 0.500 0.500 0.256 (multiplicity 2)
Sm: 0.500 0.500 0.500 (multiplicity 1)
Tl: 0.000 0.000 0.500 (multiplicity 1)

The following is a theoretical powder diffraction line list of LiCeAs2Ir5. It was derived from a cell relaxed with PBE, using copper Kα.
Neutral-atom scattering factors, no anomalous dispersion.

Largest 6 diffraction maxima, in order of falling intensity, 2θ = 10–90°:
hkl 1 1 1, 32.62 deg, d 2.745, I 100.0
hkl 1 1 4, 47.54 deg, d 1.913, I 73.0
hkl 0 0 3, 25.88 deg, d 3.442, I 57.3
hkl 2 0 0, 45.03 deg, d 2.013, I 47.0
hkl 2 0 3, 52.67 deg, d 1.738, I 33.5
hkl 3 1 4, 84.92 deg, d 1.142, I 28.2

Cell and atoms:
Lattice parameters (Å, degrees): 4.027 4.027 10.327 90.00 90.00 90.00
Space group P4/mmm (No. 123)
Inequivalent atoms, fractional coordinates:
Li: 0.000 0.000 0.000 (multiplicity 1)
Ce: 0.000 0.000 0.500 (multiplicity 1)
As: 0.500 0.500 0.266 (multiplicity 2)
Ir: 0.000 0.500 0.139 (multiplicity 4)
Ir: 0.500 0.500 0.500 (multiplicity 1)

The following is a theoretical powder diffraction line list of Ta2Nb2Cl7. It was derived from a cell relaxed with PBE, using copper Kα.
Neutral-atom scattering factors, no anomalous dispersion.

Largest 6 diffraction maxima, in order of falling intensity, 2θ = 10–90°:
hkl 0 1 -1, 13.82 deg, d 6.406, I 100.0
hkl 1 0 1, 14.26 deg, d 6.211, I 76.7
hkl 0 0 2, 13.23 deg, d 6.691, I 53.6
hkl 1 1 0, 14.99 deg, d 5.910, I 45.1
hkl 0 1 1, 14.14 deg, d 6.264, I 29.0
hkl 1 0 -1, 15.79 deg, d 5.613, I 18.4

Cell and atoms:
Lattice parameters (Å, degrees): 7.003 7.614 13.492 89.10 82.83 70.85
Space group P-1 (No. 2)
Inequivalent atoms, fractional coordinates:
Ta: 0.149 0.355 0.309 (multiplicity 2)
Ta: 0.317 0.161 0.123 (multiplicity 2)
Nb: 0.353 0.494 0.185 (multiplicity 2)
Nb: 0.418 0.810 0.759 (multiplicity 2)
Cl: 0.066 0.750 0.799 (multiplicity 2)
Cl: 0.123 0.367 0.655 (multiplicity 2)
Cl: 0.272 0.434 0.016 (multiplicity 2)
Cl: 0.307 0.993 0.927 (multiplicity 2)
Cl: 0.309 0.851 0.179 (multiplicity 2)
Cl: 0.382 0.086 0.383 (multiplicity 2)
Cl: 0.413 0.489 0.368 (multiplicity 2)

The following is a theoretical powder diffraction line list of LiTl2ZnBr4. It was derived from a cell relaxed with PBE, using copper Kα.
Neutral-atom scattering factors, no anomalous dispersion.

Largest 6 diffraction maxima, in order of falling intensity, 2θ = 10–90°:
hkl 1 3 3, 26.89 deg, d 3.316, I 100.0
hkl 1 1 5, 22.07 deg, d 4.027, I 52.5
hkl 2 2 8, 40.70 deg, d 2.217, I 32.6
hkl 2 2 4, 34.18 deg, d 2.623, I 32.1
hkl 0 4 8, 37.59 deg, d 2.393, I 27.5
hkl 1 1 3, 18.27 deg, d 4.857, I 23.5

Cell and atoms:
Lattice parameters (Å, degrees): 6.268 12.807 28.814 90.00 90.00 90.00
Space group Fddd (No. 70, origin choice 2)
Inequivalent atoms, fractional coordinates:
Li: 0.125 0.125 0.125 (multiplicity 8)
Tl: 0.125 0.125 0.260 (multiplicity 16)
Zn: 0.125 0.125 0.625 (multiplicity 8)
Br: 0.113 0.271 0.826 (multiplicity 32)

The following is a theoretical powder diffraction line list of Tl6PbAu4. It was derived from a cell relaxed with PBE, using copper Kα.
Neutral-atom scattering factors, no anomalous dispersion.

Largest 6 diffraction maxima, in order of falling intensity, 2θ = 10–90°:
hkl 2 0 0, 37.69 deg, d 2.387, I 100.0
hkl 1 1 6, 33.18 deg, d 2.700, I 40.0
hkl 3 1 8, 68.04 deg, d 1.378, I 24.8
hkl 2 2 0, 54.32 deg, d 1.689, I 17.8
hkl 1 0 5, 24.90 deg, d 3.575, I 16.9
hkl 1 1 4, 29.58 deg, d 3.020, I 15.5

Cell and atoms:
Lattice parameters (Å, degrees): 4.777 4.777 26.960 90.00 90.00 90.00
Space group I4/mmm (No. 139)
Inequivalent atoms, fractional coordinates:
Tl: 0.000 0.500 0.113 (multiplicity 8)
Tl: 0.000 0.500 0.250 (multiplicity 4)
Pb: 0.000 0.000 0.000 (multiplicity 2)
Au: 0.000 0.000 0.181 (multiplicity 4)
Au: 0.000 0.000 0.450 (multiplicity 4)

The following is a theoretical powder diffraction line list of Na3Tl5. It was derived from a cell relaxed with PBE, using copper Kα.
Neutral-atom scattering factors, no anomalous dispersion.

Largest 6 diffraction maxima, in order of falling intensity, 2θ = 10–90°:
hkl 0 2 4, 31.52 deg, d 2.838, I 100.0
hkl 2 2 0, 32.16 deg, d 2.784, I 95.1
hkl 2 0 4, 37.81 deg, d 2.379, I 61.7
hkl 0 2 0, 17.35 deg, d 5.111, I 50.0
hkl 2 4 4, 52.55 deg, d 1.741, I 48.4
hkl 0 4 0, 35.12 deg, d 2.556, I 37.7

Cell and atoms:
Lattice parameters (Å, degrees): 6.638 10.222 13.650 90.00 90.00 90.00
Space group Fmmm (No. 69)
Inequivalent atoms, fractional coordinates:
Na: 0.000 0.000 0.000 (multiplicity 4)
Na: 0.000 0.000 0.255 (multiplicity 8)
Tl: 0.000 0.000 0.500 (multiplicity 4)
Tl: 0.250 0.250 0.126 (multiplicity 16)